(1)
Calculated X-ray diffraction stick pattern
Compound: Pm2Ga12Au
Radiation: λ = 1.5418 Å (Cu Kα)
Structure: a DFT-relaxed cell (PBE, Alexandria)
Lines closer than 0.1° are merged.

Cell lengths 6.2441, 6.2441, 15.3943 Å; angles 90.00, 90.00, 90.00 degrees
Space group P4/nbm (No. 125, origin choice 2)
Unique sites:
Pm 0.2500 0.7500 0.2488 x4
Ga 0.0002 0.9998 0.0939 x8
Ga 0.0807 0.5807 0.4307 x8
Ga 0.2500 0.2500 0.1863 x4
Ga 0.2500 0.2500 0.3464 x4
Au 0.2500 0.7500 0.0000 x2

Principal peaks in the range 2θ from 5° to 70°, low angle first:
Position (°2θ)  Rel. int.
5.7  39
20.1  18
30.9  100
37.1  40
40.9  55
41.2  22
45.8  18
46.4  15
52.1  32
68.0  20

***

(2)
Calculated X-ray diffraction stick pattern
Compound: Pm3Ga4Au4
Radiation: λ = 1.5418 Å (Cu Kα)
Structure: a DFT-relaxed cell (PBE, Alexandria)
Lines closer than 0.1° are merged.

Cell lengths 28.4181, 3.8448, 4.4585 Å; angles 90.00, 98.97, 90.00 degrees
Space group C2/m (No. 12)
Unique sites:
Pm 0.0000 0.0000 0.0000 x2
Pm 0.1445 0.0000 0.6452 x4
Ga 0.0959 0.5000 0.0968 x4
Ga 0.2445 0.5000 0.7447 x4
Au 0.0498 0.5000 0.5508 x4
Au 0.1880 0.5000 0.1888 x4

Principal peaks in the range 2θ from 5° to 70°, low angle first:
Position (°2θ)  Rel. int.
31.4  74
32.3  78
33.3  100
36.3  27
40.5  56
40.7  84
47.3  43
52.7  39
63.9  29
64.1  44

***

(3)
Calculated X-ray diffraction stick pattern
Compound: PmGa2Au8
Radiation: λ = 1.5418 Å (Cu Kα)
Structure: a DFT-relaxed cell (PBE, Alexandria)
Lines closer than 0.1° are merged.

Cell lengths 4.3885, 7.3932, 7.8255 Å; angles 115.68, 93.89, 106.69 degrees
Space group P-1 (No. 2)
Unique sites:
Pm 0.0000 0.0000 0.0000 x1
Ga 0.2881 0.5362 0.2839 x2
Au 0.1446 0.1821 0.4622 x2
Au 0.1741 0.3760 0.8857 x2
Au 0.3004 0.6692 0.6954 x2
Au 0.4839 0.9090 0.2554 x2

Principal peaks in the range 2θ from 5° to 70°, low angle first:
Position (°2θ)  Rel. int.
30.0  12
32.2  14
35.3  49
36.0  29
37.7  24
38.1  100
39.2  14
41.3  37
51.6  14
66.6  15

***

(4)
Calculated X-ray diffraction stick pattern
Compound: PmGa2PtAu
Radiation: λ = 1.5418 Å (Cu Kα)
Structure: a DFT-relaxed cell (PBE, Alexandria)
Lines closer than 0.1° are merged.

Cell lengths 4.0629, 4.1474, 11.9579 Å; angles 90.00, 90.00, 90.00 degrees
Space group Imm2 (No. 44)
Unique sites:
Pm 0.0000 0.0000 0.0000 x2
Ga 0.0000 0.0000 0.3838 x2
Ga 0.0000 0.5000 0.2324 x2
Pt 0.0000 0.0000 0.5894 x2
Au 0.0000 0.5000 0.7532 x2

Principal peaks in the range 2θ from 5° to 70°, low angle first:
Position (°2θ)  Rel. int.
23.1  17
31.1  31
34.3  100
43.5  23
43.7  34
43.9  24
44.6  21
55.4  13
63.7  16
64.2  21

***

(5)
Calculated X-ray diffraction stick pattern
Compound: Pm2Ga4Rh3Au
Radiation: λ = 1.5418 Å (Cu Kα)
Structure: a DFT-relaxed cell (PBE, Alexandria)
Lines closer than 0.1° are merged.

Cell lengths 4.2793, 4.2793, 10.3933 Å; angles 90.00, 90.00, 90.00 degrees
Space group P-4m2 (No. 115)
Unique sites:
Pm 0.0000 0.5000 0.2484 x2
Ga 0.0000 0.0000 0.0000 x1
Ga 0.0000 0.5000 0.6370 x2
Ga 0.5000 0.5000 0.0000 x1
Rh 0.0000 0.5000 0.8732 x2
Rh 0.5000 0.5000 0.5000 x1
Au 0.0000 0.0000 0.5000 x1

Principal peaks in the range 2θ from 5° to 70°, low angle first:
Position (°2θ)  Rel. int.
30.8  10
33.3  50
34.3  100
42.2  57
46.0  19
48.7  22
54.8  24
61.3  19
61.7  14
66.4  17

***

(6)
Calculated X-ray diffraction stick pattern
Compound: Pm2ZnGa4Au3
Radiation: λ = 1.5418 Å (Cu Kα)
Structure: a DFT-relaxed cell (PBE, Alexandria)
Lines closer than 0.1° are merged.

Cell lengths 4.3068, 4.3068, 10.9405 Å; angles 90.00, 90.00, 90.00 degrees
Space group P-4m2 (No. 115)
Unique sites:
Pm 0.0000 0.5000 0.2436 x2
Zn 0.5000 0.5000 0.0000 x1
Ga 0.0000 0.0000 0.5000 x1
Ga 0.0000 0.5000 0.8657 x2
Ga 0.5000 0.5000 0.5000 x1
Au 0.0000 0.0000 0.0000 x1
Au 0.0000 0.5000 0.6360 x2

Principal peaks in the range 2θ from 5° to 70°, low angle first:
Position (°2θ)  Rel. int.
26.3  27
29.3  21
32.2  68
33.7  100
42.0  70
44.5  32
46.6  41
53.8  32
60.8  23
64.4  31

***

(7)
Calculated X-ray diffraction stick pattern
Compound: Pm2ZnGa3Au4
Radiation: λ = 1.5418 Å (Cu Kα)
Structure: a DFT-relaxed cell (PBE, Alexandria)
Lines closer than 0.1° are merged.

Cell lengths 4.4168, 4.4168, 10.5478 Å; angles 90.00, 90.00, 90.00 degrees
Space group P-4m2 (No. 115)
Unique sites:
Pm 0.0000 0.5000 0.2490 x2
Zn 0.5000 0.5000 0.0000 x1
Ga 0.0000 0.0000 0.0000 x1
Ga 0.0000 0.5000 0.6329 x2
Au 0.0000 0.0000 0.5000 x1
Au 0.0000 0.5000 0.8686 x2
Au 0.5000 0.5000 0.5000 x1

Principal peaks in the range 2θ from 5° to 70°, low angle first:
Position (°2θ)  Rel. int.
29.8  30
32.6  54
33.3  100
40.9  70
45.0  35
47.8  27
53.2  27
59.2  24
64.6  21
69.6  24

***

(8)
Calculated X-ray diffraction stick pattern
Compound: PrGa4Au6
Radiation: λ = 1.5418 Å (Cu Kα)
Structure: a DFT-relaxed cell (PBE, Alexandria)
Lines closer than 0.1° are merged.

Cell lengths 7.5019, 7.5019, 4.3181 Å; angles 90.00, 90.00, 120.00 degrees
Space group P-6 (No. 174)
Unique sites:
Pr 0.0000 0.0000 0.0000 x1
Ga 0.1968 0.8001 0.5000 x3
Ga 0.6667 0.3333 0.0000 x1
Au 0.0717 0.5333 0.0000 x3
Au 0.3921 0.1951 0.5000 x3

Principal peaks in the range 2θ from 5° to 70°, low angle first:
Position (°2θ)  Rel. int.
24.8  17
34.6  100
36.6  23
41.7  18
41.8  26
42.3  38
48.5  19
56.8  13
66.0  18
66.3  14